The following is a theoretical powder diffraction line list of Sm6Si2C. It was derived from DFT lattice parameters and positions (PBE), using a wavelength of 1.5418 Å.

Peak list (10 most intense, 2θ from 10° to 90°, in order of rising 2θ)
(hkl), 2theta, I_rel
1 1 1, 25.72, 45
1 2 -2, 28.33, 48
0 2 2, 29.37, 100
2 1 -2, 30.45, 83
1 0 2, 31.24, 41
1 0 -4, 32.05, 51
2 1 -3, 32.18, 51
1 3 -1, 36.86, 44
0 0 4, 37.97, 42
2 3 -5, 54.27, 46

Atomic structure:
```
data_Sm6Si2C
_cell_length_a 6.3238
_cell_length_b 7.9290
_cell_length_c 11.2369
_cell_angle_alpha 90.00
_cell_angle_beta 122.44
_cell_angle_gamma 90.00
_space_group_name_H-M_alt 'P 1 21/c 1'
_space_group_IT_number 14
_space_group_name_Hall '-P 2ybc'
loop_
_atom_site_label
_atom_site_fract_x
_atom_site_fract_y
_atom_site_fract_z
_atom_site_occupancy
Sm1 0.1135 0.1605 0.4444 1
Sm2 0.3069 0.7042 0.4461 1
Sm3 0.3631 0.0350 0.2478 1
Si1 0.1908 0.1136 0.7566 1
C1 0.5000 0.0000 0.5000 1
```